The following is a theoretical powder X-ray diffraction pattern of Al2RhAu. It was derived from a crystal structure in Alexandria, relaxed with GGA-PBE, using λ = 1.5418 Å (Cu Kα).
No peak broadening, texture or thermal motion is included.

Crystal structure
Lattice parameters (Å, degrees): 3.0662 3.0662 7.7958 90.00 90.00 120.00
Space group P-6m2 (No. 187)
Inequivalent atoms, fractional coordinates:
Al: 0.0000 0.0000 0.2304 [2 per cell]
Rh: 0.6667 0.3333 0.0000 [1 per cell]
Au: 0.6667 0.3333 0.5000 [1 per cell]

Peak list (12 most intense, 2θ = 10–90°, sorted by position)
11.35 deg, 7.796 Å, I = 19.8
22.81 deg, 3.898 Å, I = 42.9
33.75 deg, 2.655 Å, I = 61.1
35.72 deg, 2.514 Å, I = 12.3
41.13 deg, 2.195 Å, I = 100.0
46.60 deg, 1.949 Å, I = 12.9
58.77 deg, 1.571 Å, I = 25.4
60.38 deg, 1.533 Å, I = 18.6
65.41 deg, 1.427 Å, I = 14.6
75.67 deg, 1.257 Å, I = 16.7
79.55 deg, 1.205 Å, I = 16.3
82.68 deg, 1.167 Å, I = 12.9